Entry 1:
Diffraction record for MgMn4ZnS8. The powder XRD pattern is theoretical, not measured: it uses a DFT-relaxed cell (PBE, the Materials Project) and Cu Kα (λ = 1.5418 Å).

Atomic structure:
```
14
Lattice="6.2377 -3.5028 0.0000 6.2377 3.5028 0.0000 -4.3206 0.0000 5.9409" Properties=species:S:1:pos:R:3 pbc="T T T"
Mg 0.0000 0.0000 0.0000
Mn 3.1189 1.7514 0.0000
Mn 3.1189 -1.7514 0.0000
Mn 6.2377 0.0000 0.0000
Mn 4.0774 0.0000 2.9704
Zn -2.1603 0.0000 2.9704
S 5.0427 1.7418 1.4055
S -0.2554 0.0000 4.6404
S 2.1977 0.0000 1.3262
S 3.1120 1.7418 4.5354
S 5.0427 -1.7418 1.4055
S 5.9571 0.0000 4.6146
S 8.4102 0.0000 1.3004
S 3.1120 -1.7418 4.5354
```

Top 10 peaks for 15 to 90 degrees two-theta, in order of rising 2θ:
Position (°2θ), Rel. int.
29.61, 12
35.41, 100
35.59, 50
49.64, 16
51.08, 62
52.23, 15
62.57, 15
64.81, 15
85.80, 12
86.12, 12

Entry 2:
Diffraction record for MgMn4ZnS8. The powder XRD pattern is theoretical, not measured: it uses a DFT-relaxed cell (PBE, the Materials Project) and Cu Kα (λ = 1.5418 Å).

Atomic structure:
```
14
Lattice="6.1260 -3.4974 0.0000 6.1260 3.4974 0.0000 -4.2790 0.0000 6.0289" Properties=species:S:1:pos:R:3 pbc="T T T"
Mg 0.0000 0.0000 0.0000
Mn -2.1395 0.0000 3.0144
Mn 0.9235 1.7487 3.0144
Mn 0.9235 -1.7487 3.0144
Mn 3.9865 0.0000 3.0144
Zn 6.1260 0.0000 0.0000
S 2.8252 1.7465 4.4270
S -0.0145 0.0000 4.3233
S 1.8980 0.0000 1.7203
S 5.1478 1.7465 1.6019
S 2.8252 -1.7465 4.4270
S 6.0750 0.0000 4.3086
S 7.9875 0.0000 1.7056
S 5.1478 -1.7465 1.6019
```

Top 10 peaks for 15 to 90 degrees two-theta, in order of rising 2θ:
Position (°2θ), Rel. int.
15.13, 22
29.75, 10
35.34, 100
35.95, 48
49.33, 16
50.73, 31
51.87, 30
52.31, 16
65.12, 15
87.81, 12

Entry 3:
Diffraction record for MgMn4Zn2S8. The powder XRD pattern is theoretical, not measured: it uses a DFT-relaxed cell (PBE, the Materials Project) and Cu Kα (λ = 1.5418 Å).

Atomic structure:
```
15
Lattice="3.5971 2.0768 6.1954 -3.5971 2.0768 6.1954 0.0000 -4.1536 6.1954" Properties=species:S:1:pos:R:3 pbc="T T T"
Mg 0.0000 0.0000 0.0000
Mn -1.7986 -1.0384 6.1954
Mn -1.7986 1.0384 12.3908
Mn 0.0000 2.0768 6.1954
Mn 0.0000 0.0000 9.2931
Zn 0.0000 0.0000 2.7035
Zn 0.0000 0.0000 15.8828
S 0.0000 -2.0306 7.7032
S -1.7585 1.0153 7.7032
S -1.7585 -1.0153 10.8830
S 0.0000 0.0000 4.9676
S 0.0000 0.0000 13.6186
S 1.7585 1.0153 7.7032
S 1.7585 -1.0153 10.8830
S 0.0000 2.0306 10.8830
```

Top 10 peaks for 15 to 90 degrees two-theta, in order of rising 2θ:
Position (°2θ), Rel. int.
24.75, 47
27.95, 21
28.70, 91
29.06, 51
34.67, 100
44.85, 38
46.10, 24
48.91, 75
50.76, 91
73.15, 21

Entry 4:
Diffraction record for Mg14MnSb. The powder XRD pattern is theoretical, not measured: it uses a DFT-relaxed cell (PBE, the Materials Project) and Cu Kα (λ = 1.5418 Å).

Atomic structure:
```
16
Lattice="6.3098 0.0000 0.0000 -3.1549 5.4645 0.0000 0.0000 0.0000 10.3363" Properties=species:S:1:pos:R:3 pbc="T T T"
Mg 0.0000 0.0000 2.5703
Mg 0.0000 0.0000 7.7661
Mg -1.5599 2.7424 2.5108
Mg -1.5599 2.7424 7.8256
Mg 1.5683 0.9054 5.1682
Mg 1.5810 0.9128 0.0000
Mg 1.5599 2.7424 2.5108
Mg 1.5599 2.7424 7.8256
Mg 0.0000 5.4443 2.5108
Mg 0.0000 5.4443 7.8256
Mg 4.7288 0.9128 0.0000
Mg 3.1549 3.6389 0.0000
Mg 4.7416 0.9054 5.1682
Mg 3.1549 3.6536 5.1682
Mn 0.0000 3.6430 0.0000
Sb 0.0000 3.6430 5.1682
```

Top 10 peaks for 15 to 90 degrees two-theta, in order of rising 2θ:
Position (°2θ), Rel. int.
16.22, 29
23.70, 23
32.78, 27
34.72, 26
37.22, 100
48.49, 17
58.51, 17
63.88, 19
69.86, 19
71.42, 13

Entry 5:
Diffraction record for Mg6MnSb. The powder XRD pattern is theoretical, not measured: it uses a DFT-relaxed cell (PBE, the Materials Project) and Cu Kα (λ = 1.5418 Å).

Atomic structure:
```
8
Lattice="5.1579 0.0000 0.0000 0.0000 3.1015 5.3941 0.0000 -3.1015 5.3941" Properties=species:S:1:pos:R:3 pbc="T T T"
Mg 0.0000 0.0000 0.0000
Mg 0.0000 -1.5000 2.6774
Mg 0.0000 1.5000 2.6774
Mg 0.0000 0.0000 5.3336
Mg 2.5790 -1.5430 6.2661
Mg 2.5790 1.5430 6.2661
Mn 2.5790 0.0000 3.5801
Sb 2.5790 0.0000 8.9784
```

Top 10 peaks for 15 to 90 degrees two-theta, in order of rising 2θ:
Position (°2θ), Rel. int.
16.45, 36
17.19, 22
23.88, 31
33.32, 22
33.69, 13
34.79, 27
37.70, 100
48.91, 21
64.29, 20
70.73, 12

Entry 6:
Diffraction record for Mg6MnSb. The powder XRD pattern is theoretical, not measured: it uses a DFT-relaxed cell (PBE, the Materials Project) and Cu Kα (λ = 1.5418 Å).

Atomic structure:
```
8
Lattice="5.0642 0.0000 0.0000 0.0000 3.1547 5.3927 0.0000 -3.1547 5.3927" Properties=species:S:1:pos:R:3 pbc="T T T"
Mg 0.0000 0.0000 0.0000
Mg 0.0000 -1.5379 8.0668
Mg 0.0000 1.5379 8.0668
Mg 2.5321 -1.5431 6.2650
Mg 2.5321 1.5431 6.2650
Mg 2.5321 0.0000 8.9959
Mn 0.0000 0.0000 5.4032
Sb 2.5321 0.0000 3.6447
```

Top 10 peaks for 15 to 90 degrees two-theta, in order of rising 2θ:
Position (°2θ), Rel. int.
16.28, 63
24.00, 28
24.11, 25
32.89, 28
33.71, 26
35.45, 39
37.50, 100
37.80, 52
65.00, 20
70.89, 19

Entry 7:
Diffraction record for Mg14MnSb. The powder XRD pattern is theoretical, not measured: it uses a DFT-relaxed cell (PBE, the Materials Project) and Cu Kα (λ = 1.5418 Å).

Atomic structure:
```
16
Lattice="10.3056 0.0000 0.0000 0.0000 3.1483 5.4619 0.0000 -3.1483 5.4619" Properties=species:S:1:pos:R:3 pbc="T T T"
Mg 0.0000 0.0000 0.0000
Mg 0.0000 -1.5729 2.7324
Mg 0.0000 1.5729 2.7324
Mg 0.0000 0.0000 5.4590
Mg 2.5495 0.0000 1.8312
Mg 2.6040 -1.5440 4.5556
Mg 2.6040 1.5440 4.5556
Mg 2.6094 0.0000 7.2562
Mg 5.1528 -1.5665 8.1828
Mg 5.1528 1.5665 8.1828
Mg 7.7016 -1.5440 4.5556
Mg 7.7016 1.5440 4.5556
Mg 7.6962 0.0000 7.2562
Mg 7.7561 0.0000 1.8312
Mn 5.1528 0.0000 5.4673
Sb 5.1528 0.0000 0.0193
```

Top 10 peaks for 15 to 90 degrees two-theta, in order of rising 2θ:
Position (°2θ), Rel. int.
16.23, 14
18.39, 21
23.74, 12
32.82, 27
34.82, 26
37.29, 100
48.60, 17
58.59, 17
64.06, 20
70.00, 19

Entry 8:
Diffraction record for Mg14MnSn. The powder XRD pattern is theoretical, not measured: it uses a DFT-relaxed cell (PBE, the Materials Project) and Cu Kα (λ = 1.5418 Å).

Atomic structure:
```
16
Lattice="6.2864 0.0000 0.0000 -3.1432 5.4442 0.0000 0.0000 0.0000 10.3787" Properties=species:S:1:pos:R:3 pbc="T T T"
Mg 0.0000 0.0000 2.5702
Mg 0.0000 0.0000 7.8085
Mg -1.5457 2.7370 2.5125
Mg -1.5457 2.7370 7.8662
Mg 1.5672 0.9048 5.1894
Mg 1.5725 0.9079 0.0000
Mg 1.5457 2.7370 2.5125
Mg 1.5457 2.7370 7.8662
Mg 0.0000 5.4143 2.5125
Mg 0.0000 5.4143 7.8662
Mg 4.7139 0.9079 0.0000
Mg 3.1432 3.6284 0.0000
Mg 4.7192 0.9048 5.1894
Mg 3.1432 3.6345 5.1894
Mn 0.0000 3.6294 0.0000
Sn 0.0000 3.6294 5.1894
```

Top 10 peaks for 15 to 90 degrees two-theta, in order of rising 2θ:
Position (°2θ), Rel. int.
16.28, 29
23.69, 22
32.90, 27
34.57, 27
37.30, 100
48.47, 18
58.75, 17
63.74, 20
69.99, 19
71.69, 14

Entry 9:
Diffraction record for Mg14MnSn. The powder XRD pattern is theoretical, not measured: it uses a DFT-relaxed cell (PBE, the Materials Project) and Cu Kα (λ = 1.5418 Å).

Atomic structure:
```
16
Lattice="10.3003 0.0000 0.0000 0.0000 3.1452 5.4557 0.0000 -3.1452 5.4557" Properties=species:S:1:pos:R:3 pbc="T T T"
Mg 0.0000 0.0000 0.0000
Mg 0.0000 -1.5709 2.7296
Mg 0.0000 1.5709 2.7296
Mg 0.0000 0.0000 5.4533
Mg 2.5593 0.0000 1.8216
Mg 2.6044 -1.5501 4.5558
Mg 2.6044 1.5501 4.5558
Mg 2.6031 0.0000 7.2492
Mg 5.1501 -1.5684 8.1767
Mg 5.1501 1.5684 8.1767
Mg 7.6958 -1.5501 4.5558
Mg 7.6958 1.5501 4.5558
Mg 7.6972 0.0000 7.2492
Mg 7.7410 0.0000 1.8216
Mn 5.1501 0.0000 5.4618
Sn 5.1501 0.0000 0.0111
```

Top 10 peaks for 15 to 90 degrees two-theta, in order of rising 2θ:
Position (°2θ), Rel. int.
16.25, 14
18.41, 21
23.76, 12
32.86, 27
34.84, 26
37.32, 100
48.64, 18
58.66, 17
64.11, 20
70.07, 19

Entry 10:
Diffraction record for Mg6MnSn. The powder XRD pattern is theoretical, not measured: it uses a DFT-relaxed cell (PBE, the Materials Project) and Cu Kα (λ = 1.5418 Å).

Atomic structure:
```
8
Lattice="5.0150 0.0000 0.0000 0.0000 3.1268 5.4622 0.0000 -3.1268 5.4622" Properties=species:S:1:pos:R:3 pbc="T T T"
Mg 0.0000 0.0000 0.0000
Mg 0.0000 -1.5036 2.7082
Mg 0.0000 1.5036 2.7082
Mg 0.0000 0.0000 5.3895
Mg 2.5075 -1.5586 6.3446
Mg 2.5075 1.5586 6.3446
Mn 2.5075 0.0000 3.6203
Sn 2.5075 0.0000 9.0896
```

Top 10 peaks for 15 to 90 degrees two-theta, in order of rising 2θ:
Position (°2θ), Rel. int.
16.23, 37
17.69, 30
24.12, 45
33.01, 33
35.81, 37
37.50, 52
37.69, 100
49.49, 21
65.59, 19
70.68, 19

Entry 11:
Diffraction record for Mg6MnSn. The powder XRD pattern is theoretical, not measured: it uses a DFT-relaxed cell (PBE, the Materials Project) and Cu Kα (λ = 1.5418 Å).

Atomic structure:
```
8
Lattice="4.9648 0.0000 0.0000 0.0000 3.1733 5.4312 0.0000 -3.1733 5.4312" Properties=species:S:1:pos:R:3 pbc="T T T"
Mg 0.0000 0.0000 0.0000
Mg 0.0000 -1.5528 8.1079
Mg 0.0000 1.5528 8.1079
Mg 2.4824 -1.6203 4.4970
Mg 2.4824 0.0000 1.7995
Mg 2.4824 1.6203 4.4970
Mn 2.4824 0.0000 7.2352
Sn 0.0000 0.0000 5.4811
```

Top 10 peaks for 15 to 90 degrees two-theta, in order of rising 2θ:
Position (°2θ), Rel. int.
16.17, 62
24.24, 50
32.68, 29
33.74, 26
36.19, 37
37.49, 100
37.76, 52
49.55, 18
65.94, 18
70.95, 19

Entry 12:
Diffraction record for SrMg6Mn. The powder XRD pattern is theoretical, not measured: it uses a DFT-relaxed cell (PBE, the Materials Project) and Cu Kα (λ = 1.5418 Å).

Atomic structure:
```
8
Lattice="5.0948 0.0000 0.0000 0.0000 3.2699 5.6536 0.0000 -3.2699 5.6536" Properties=species:S:1:pos:R:3 pbc="T T T"
Sr 0.0000 0.0000 0.0000
Mg 0.0000 -1.6043 8.4422
Mg 0.0000 1.6043 8.4422
Mg 2.5474 0.0000 3.9067
Mg 2.5474 -1.4392 6.5500
Mg 2.5474 1.4392 6.5500
Mg 2.5474 0.0000 9.2744
Mn 0.0000 0.0000 5.8024
```

Top 10 peaks for 15 to 90 degrees two-theta, in order of rising 2θ:
Position (°2θ), Rel. int.
15.67, 20
17.41, 14
23.50, 19
31.63, 31
35.23, 24
36.32, 100
48.06, 19
56.32, 16
63.93, 18
68.20, 17

What is the formula in the first record?
MgMn4ZnS8